[1]
Calculated PXRD pattern of Cs3CoCl5 for copper Kα, from a DFT-relaxed cell (PBE, the Materials Project).

Atomic structure:
a b c (Å): 9.4722 9.4722 14.5991
angles (deg): 90.00 90.00 90.00
Space group I4/mcm (No. 140)
Asymmetric unit:
Cs (0.0000, 0.0000, 0.2500) (multiplicity 4)
Cs (0.1687, 0.3313, 0.0000) (multiplicity 8)
Co (0.0000, 0.5000, 0.2500) (multiplicity 4)
Cl (0.0000, 0.0000, 0.0000) (multiplicity 4)
Cl (0.1346, 0.3654, 0.3436) (multiplicity 16)

Largest 12 diffraction maxima, most intense first, 2θ from 5° to 70°:
(hkl)  2θ (°)  d_spacing  intensity
2 1 3  27.92  3.196  100.0
2 0 2  22.38  3.973  73.6
3 1 0  29.83  2.995  42.9
2 1 1  21.85  4.068  33.0
0 0 4  24.39  3.650  27.4
2 2 0  26.62  3.349  27.4
2 2 4  36.41  2.468  22.8
2 0 6  41.73  2.164  16.6
4 2 4  49.77  1.832  15.8
4 1 3  43.56  2.077  15.7
3 1 4  38.90  2.315  15.2
4 2 0  42.69  2.118  15.1


[2]
Calculated PXRD pattern of Gd6CoCl10 for copper Kα, from a DFT-relaxed cell (PBE, the Materials Project).

Atomic structure:
a b c (Å): 7.2279 8.8520 8.9770
angles (deg): 110.00 107.50 96.54
Space group P-1 (No. 2)
Asymmetric unit:
Gd (0.0197, 0.3917, 0.1869) (multiplicity 2)
Gd (0.1311, 0.2605, 0.5501) (multiplicity 2)
Gd (0.3751, 0.6988, 0.6508) (multiplicity 2)
Co (0.0000, 0.5000, 0.5000) (multiplicity 1)
Cl (0.0927, 0.3382, 0.8707) (multiplicity 2)
Cl (0.2000, 0.1450, 0.2406) (multiplicity 2)
Cl (0.2454, 0.9565, 0.5809) (multiplicity 2)
Cl (0.3662, 0.7839, 0.9671) (multiplicity 2)
Cl (0.4508, 0.5751, 0.3293) (multiplicity 2)

Largest 12 diffraction maxima, most intense first, 2θ from 5° to 70°:
(hkl)  2θ (°)  d_spacing  intensity
1 0 -3  31.81  2.813  100.0
0 1 0  10.96  8.071  57.4
2 1 0  31.33  2.855  54.1
0 0 1  11.26  7.857  53.2
0 1 -1  12.21  7.250  33.2
1 0 0  13.24  6.689  26.4
3 -2 1  44.51  2.036  23.1
3 1 -3  43.09  2.099  19.3
0 3 -4  45.06  2.012  18.3
1 -1 1  19.12  4.641  17.4
1 1 3  47.37  1.919  16.9
1 4 -1  45.91  1.976  16.3


[3]
Calculated PXRD pattern of CoH6N2Cl2 for copper Kα, from a DFT-relaxed cell (PBE, the Materials Project).

Atomic structure:
a b c (Å): 7.5427 8.0266 8.0092
angles (deg): 90.00 90.00 90.00
Space group Imma (No. 74)
Asymmetric unit:
Co (0.0000, 0.2500, 0.2433) (multiplicity 4)
H (0.0000, 0.0653, 0.6509) (multiplicity 8)
H (0.1084, 0.0553, 0.8296) (multiplicity 16)
N (0.0000, 0.0101, 0.7660) (multiplicity 8)
Cl (0.2423, 0.2500, 0.4602) (multiplicity 8)

Largest 12 diffraction maxima, most intense first, 2θ from 5° to 70°:
(hkl)  2θ (°)  d_spacing  intensity
0 1 1  15.63  5.670  100.0
2 0 2  32.61  2.746  71.1
0 2 0  22.15  4.013  41.5
2 1 3  43.00  2.103  36.1
2 2 2  39.78  2.266  29.9
2 4 2  56.83  1.620  21.1
0 3 1  35.37  2.538  19.1
2 3 3  54.29  1.690  14.9
2 1 1  28.42  3.140  13.6
0 4 0  45.19  2.007  13.1
4 4 0  68.25  1.374  10.8
4 0 0  48.26  1.886  10.1